Simulated powder diffraction line list
Compound: TbYTl6
Radiation: CuKα
Structure: DFT lattice parameters and positions (GGA-PBE)
Intensities are scaled so that the largest is 100.

Atomic structure:
a = 4.749 Å, b = 4.749 Å, c = 9.497 Å
α = 90.00°, β = 90.00°, γ = 90.00°
Space group P4/mmm (No. 123)
Inequivalent atoms, fractional coordinates:
Tb1 0.000 0.000 0.000 (multiplicity 1)
Y1 0.000 0.000 0.500 (multiplicity 1)
Tl1 0.000 0.500 0.250 (multiplicity 4)
Tl2 0.500 0.500 0.000 (multiplicity 1)
Tl3 0.500 0.500 0.500 (multiplicity 1)

Largest 12 diffraction maxima, in order of rising 2θ, 5 to 70 degrees two-theta:
d = 9.497 Å, 2θ 9.31, intensity 1, (0 0 1)
d = 4.749 Å, 2θ 18.69, intensity 3, (1 0 0)
d = 4.247 Å, 2θ 20.92, intensity 1, (1 0 1)
d = 3.358 Å, 2θ 26.55, intensity 3, (1 1 0)
d = 2.742 Å, 2θ 32.66, intensity 100, (1 1 2)
d = 2.374 Å, 2θ 37.89, intensity 50, (2 0 0)
d = 2.124 Å, 2θ 42.57, intensity 2, (2 1 0)
d = 1.939 Å, 2θ 46.86, intensity 1, (2 1 2)
d = 1.679 Å, 2θ 54.67, intensity 35, (2 2 0)
d = 1.583 Å, 2θ 58.29, intensity 1, (3 0 0)
d = 1.432 Å, 2θ 65.16, intensity 42, (3 1 2)
d = 1.371 Å, 2θ 68.44, intensity 12, (2 2 4)


Simulated powder diffraction line list
Compound: FeCl2
Radiation: CuKα
Structure: DFT lattice parameters and positions (GGA-PBE)
Intensities are scaled so that the largest is 100.

Atomic structure:
a = 7.678 Å, b = 5.999 Å, c = 6.034 Å
α = 90.00°, β = 90.00°, γ = 90.00°
Space group Ama2 (No. 40)
Inequivalent atoms, fractional coordinates:
Fe1 0.250 0.140 0.000 (multiplicity 4)
Cl1 0.000 0.000 0.161 (multiplicity 4)
Cl2 0.250 0.004 0.641 (multiplicity 4)

Largest 12 diffraction maxima, in order of rising 2θ, 5 to 70 degrees two-theta:
d = 4.254 Å, 2θ 20.88, intensity 40, (0 1 1)
d = 3.839 Å, 2θ 23.17, intensity 47, (2 0 0)
d = 3.721 Å, 2θ 23.91, intensity 100, (1 1 1)
d = 3.017 Å, 2θ 29.61, intensity 42, (0 0 2)
d = 2.999 Å, 2θ 29.79, intensity 27, (0 2 0)
d = 2.850 Å, 2θ 31.39, intensity 83, (2 1 1)
d = 2.794 Å, 2θ 32.04, intensity 41, (1 2 0)
d = 2.372 Å, 2θ 37.93, intensity 32, (2 0 2)
d = 2.050 Å, 2θ 44.18, intensity 30, (1 2 2)
d = 1.920 Å, 2θ 47.36, intensity 29, (4 0 0)
d = 1.708 Å, 2θ 53.67, intensity 51, (2 1 3)
d = 1.701 Å, 2θ 53.88, intensity 54, (2 3 1)


Simulated powder diffraction line list
Compound: LaPrGa2Ni4
Radiation: CuKα
Structure: DFT lattice parameters and positions (GGA-PBE)
Intensities are scaled so that the largest is 100.

Atomic structure:
a = 4.1991 Å, b = 4.1991 Å, c = 9.5301 Å
α = 90.00°, β = 90.00°, γ = 120.00°
Space group P-6m2 (No. 187)
Inequivalent atoms, fractional coordinates:
La1 0.0000 0.0000 0.0000 (multiplicity 1)
Pr1 0.6667 0.3333 0.5000 (multiplicity 1)
Ga1 0.3333 0.6667 0.2541 (multiplicity 2)
Ni1 0.0000 0.0000 0.3004 (multiplicity 2)
Ni2 0.6667 0.3333 0.1987 (multiplicity 2)

Largest 12 diffraction maxima, in order of rising 2θ, 5 to 70 degrees two-theta:
d = 3.637 Å, 2θ 24.48, intensity 13, (1 0 0)
d = 3.398 Å, 2θ 26.23, intensity 41, (1 0 1)
d = 2.891 Å, 2θ 30.93, intensity 30, (1 0 2)
d = 2.392 Å, 2θ 37.60, intensity 100, (1 0 3)
d = 2.383 Å, 2θ 37.76, intensity 23, (0 0 4)
d = 2.100 Å, 2θ 43.08, intensity 88, (1 1 0)
d = 1.786 Å, 2θ 51.14, intensity 7, (2 0 1)
d = 1.699 Å, 2θ 53.98, intensity 6, (2 0 2)
d = 1.578 Å, 2θ 58.49, intensity 27, (2 0 3)
d = 1.575 Å, 2θ 58.60, intensity 37, (1 1 4)
d = 1.456 Å, 2θ 63.96, intensity 12, (1 0 6)
d = 1.360 Å, 2θ 69.04, intensity 6, (2 1 1)


Simulated powder diffraction line list
Compound: HgTeH7O7
Radiation: CuKα
Structure: DFT lattice parameters and positions (GGA-PBE)
Intensities are scaled so that the largest is 100.

Atomic structure:
a = 5.696 Å, b = 6.742 Å, c = 8.432 Å
α = 90.68°, β = 102.99°, γ = 93.55°
Space group P-1 (No. 2)
Inequivalent atoms, fractional coordinates:
Hg1 0.185 0.431 0.089 (multiplicity 2)
Te1 0.500 0.000 0.000 (multiplicity 1)
Te2 0.500 0.500 0.500 (multiplicity 1)
H1 0.022 0.968 0.684 (multiplicity 2)
H2 0.045 0.527 0.392 (multiplicity 2)
H3 0.148 0.859 0.397 (multiplicity 2)
H4 0.236 0.017 0.206 (multiplicity 2)
H5 0.275 0.166 0.506 (multiplicity 2)
H6 0.366 0.790 0.749 (multiplicity 2)
H7 0.406 0.259 0.790 (multiplicity 2)
O1 0.147 0.003 0.371 (multiplicity 2)
O2 0.184 0.624 0.426 (multiplicity 2)
O3 0.224 0.045 0.086 (multiplicity 2)
O4 0.277 0.890 0.802 (multiplicity 2)
O5 0.340 0.277 0.590 (multiplicity 2)
O6 0.467 0.360 0.301 (multiplicity 2)
O7 0.468 0.268 0.912 (multiplicity 2)

Largest 12 diffraction maxima, in order of rising 2θ, 5 to 70 degrees two-theta:
d = 8.213 Å, 2θ 10.77, intensity 100, (0 0 1)
d = 6.726 Å, 2θ 13.16, intensity 70, (0 1 0)
d = 5.162 Å, 2θ 17.18, intensity 41, (1 0 -1)
d = 4.188 Å, 2θ 21.21, intensity 55, (-1 1 1)
d = 4.107 Å, 2θ 21.64, intensity 45, (0 0 2)
d = 4.010 Å, 2θ 22.17, intensity 98, (1 1 -1)
d = 3.363 Å, 2θ 26.50, intensity 38, (0 2 0)
d = 2.991 Å, 2θ 29.87, intensity 23, (1 0 2)
d = 2.707 Å, 2θ 33.09, intensity 27, (1 0 -3)
d = 2.569 Å, 2θ 34.93, intensity 26, (0 2 2)
d = 2.519 Å, 2θ 35.65, intensity 25, (-1 1 3)
d = 1.847 Å, 2θ 49.35, intensity 23, (3 0 0)


Simulated powder diffraction line list
Compound: MoPdPt
Radiation: CuKα
Structure: DFT lattice parameters and positions (GGA-PBE)
Intensities are scaled so that the largest is 100.

Atomic structure:
a = 2.776 Å, b = 3.968 Å, c = 8.319 Å
α = 90.00°, β = 90.00°, γ = 90.00°
Space group Pmmn (No. 59, origin choice 2)
Inequivalent atoms, fractional coordinates:
Mo1 0.250 0.250 0.247 (multiplicity 2)
Pd1 0.250 0.250 0.583 (multiplicity 2)
Pt1 0.250 0.250 0.911 (multiplicity 2)

Largest 12 diffraction maxima, in order of rising 2θ, 5 to 70 degrees two-theta:
d = 8.319 Å, 2θ 10.63, intensity 16, (0 0 1)
d = 4.160 Å, 2θ 21.36, intensity 1, (0 0 2)
d = 3.582 Å, 2θ 24.86, intensity 3, (0 1 1)
d = 2.871 Å, 2θ 31.15, intensity 3, (0 1 2)
d = 2.633 Å, 2θ 34.05, intensity 2, (1 0 1)
d = 2.309 Å, 2θ 39.01, intensity 2, (1 0 2)
d = 2.274 Å, 2θ 39.64, intensity 100, (1 1 0)
d = 2.194 Å, 2θ 41.14, intensity 3, (1 1 1)
d = 1.984 Å, 2θ 45.73, intensity 17, (0 2 0)
d = 1.962 Å, 2θ 46.27, intensity 32, (1 0 3)
d = 1.395 Å, 2θ 67.09, intensity 21, (1 2 3)
d = 1.387 Å, 2θ 67.52, intensity 10, (2 0 0)


Simulated powder diffraction line list
Compound: Li6Pt4O11
Radiation: CuKα
Structure: DFT lattice parameters and positions (GGA-PBE)
Intensities are scaled so that the largest is 100.

Atomic structure:
a = 4.973 Å, b = 5.192 Å, c = 8.929 Å
α = 90.37°, β = 105.60°, γ = 98.79°
Space group P1 (No. 1)
Inequivalent atoms, fractional coordinates:
Li1 0.000 0.000 0.000 (multiplicity 1)
Li2 0.000 0.485 0.843 (multiplicity 1)
Li3 0.502 0.242 0.926 (multiplicity 1)
Li4 0.508 0.729 0.416 (multiplicity 1)
Li5 0.977 0.452 0.498 (multiplicity 1)
Li6 0.983 0.981 0.321 (multiplicity 1)
Pt1 0.493 0.234 0.256 (multiplicity 1)
Pt2 0.496 0.223 0.600 (multiplicity 1)
Pt3 0.497 0.765 0.746 (multiplicity 1)
Pt4 0.498 0.729 0.088 (multiplicity 1)
O1 0.257 0.327 0.396 (multiplicity 1)
O2 0.262 0.406 0.707 (multiplicity 1)
O3 0.264 0.874 0.213 (multiplicity 1)
O4 0.265 0.857 0.887 (multiplicity 1)
O5 0.267 0.367 0.055 (multiplicity 1)
O6 0.716 0.612 0.619 (multiplicity 1)
O7 0.717 0.102 0.458 (multiplicity 1)
O8 0.727 0.092 0.130 (multiplicity 1)
O9 0.727 0.599 0.291 (multiplicity 1)
O10 0.729 0.623 0.954 (multiplicity 1)
O11 0.739 0.116 0.797 (multiplicity 1)

Largest 12 diffraction maxima, in order of rising 2θ, 5 to 70 degrees two-theta:
d = 4.728 Å, 2θ 18.77, intensity 100, (1 0 0)
d = 4.501 Å, 2θ 19.72, intensity 17, (0 1 -1)
d = 4.301 Å, 2θ 20.65, intensity 41, (0 0 2)
d = 3.727 Å, 2θ 23.88, intensity 31, (1 0 -2)
d = 2.563 Å, 2θ 35.02, intensity 19, (0 2 0)
d = 2.554 Å, 2θ 35.13, intensity 18, (0 1 -3)
d = 2.516 Å, 2θ 35.69, intensity 19, (-1 1 3)
d = 2.420 Å, 2θ 37.15, intensity 22, (1 -2 0)
d = 2.363 Å, 2θ 38.09, intensity 20, (2 0 0)
d = 2.115 Å, 2θ 42.75, intensity 18, (1 2 0)
d = 2.108 Å, 2θ 42.91, intensity 18, (1 -1 3)
d = 2.047 Å, 2θ 44.24, intensity 17, (-2 1 3)


Simulated powder diffraction line list
Compound: InTe5Os3
Radiation: CuKα
Structure: DFT lattice parameters and positions (GGA-PBE)
Intensities are scaled so that the largest is 100.

Atomic structure:
a = 5.9625 Å, b = 5.9625 Å, c = 7.7907 Å
α = 90.00°, β = 90.00°, γ = 120.00°
Space group P6/mmm (No. 191)
Inequivalent atoms, fractional coordinates:
In1 0.0000 0.0000 0.0000 (multiplicity 1)
Te1 0.0000 0.0000 0.5000 (multiplicity 1)
Te2 0.3333 0.6667 0.2407 (multiplicity 4)
Os1 0.0000 0.5000 0.5000 (multiplicity 3)

Largest 12 diffraction maxima, in order of rising 2θ, 5 to 70 degrees two-theta:
d = 7.791 Å, 2θ 11.36, intensity 100, (0 0 1)
d = 5.164 Å, 2θ 17.17, intensity 16, (1 0 0)
d = 4.304 Å, 2θ 20.64, intensity 15, (1 0 1)
d = 3.110 Å, 2θ 28.71, intensity 23, (1 0 2)
d = 2.981 Å, 2θ 29.97, intensity 34, (1 1 0)
d = 2.582 Å, 2θ 34.75, intensity 23, (2 0 0)
d = 2.451 Å, 2θ 36.67, intensity 44, (2 0 1)
d = 2.367 Å, 2θ 38.01, intensity 23, (1 1 2)
d = 2.152 Å, 2θ 41.98, intensity 98, (2 0 2)
d = 1.948 Å, 2θ 46.63, intensity 18, (0 0 4)
d = 1.831 Å, 2θ 49.80, intensity 15, (2 0 3)
d = 1.491 Å, 2θ 62.29, intensity 24, (2 2 0)


Simulated powder diffraction line list
Compound: KNi3Ge5
Radiation: CuKα
Structure: DFT lattice parameters and positions (GGA-PBE)
Intensities are scaled so that the largest is 100.

Atomic structure:
a = 4.8725 Å, b = 4.8725 Å, c = 8.3668 Å
α = 90.00°, β = 90.00°, γ = 120.00°
Space group P6/mmm (No. 191)
Inequivalent atoms, fractional coordinates:
K1 0.0000 0.0000 0.0000 (multiplicity 1)
Ni1 0.0000 0.5000 0.5000 (multiplicity 3)
Ge1 0.0000 0.0000 0.5000 (multiplicity 1)
Ge2 0.3333 0.6667 0.2505 (multiplicity 4)

Largest 12 diffraction maxima, in order of rising 2θ, 5 to 70 degrees two-theta:
d = 8.367 Å, 2θ 10.57, intensity 100, (0 0 1)
d = 4.220 Å, 2θ 21.05, intensity 12, (1 0 0)
d = 2.971 Å, 2θ 30.08, intensity 40, (1 0 2)
d = 2.789 Å, 2θ 32.09, intensity 7, (0 0 3)
d = 2.436 Å, 2θ 36.90, intensity 35, (1 1 0)
d = 2.106 Å, 2θ 42.95, intensity 28, (1 1 2)
d = 2.092 Å, 2θ 43.25, intensity 22, (0 0 4)
d = 2.046 Å, 2θ 44.27, intensity 18, (2 0 1)
d = 1.884 Å, 2θ 48.31, intensity 54, (2 0 2)
d = 1.683 Å, 2θ 54.54, intensity 9, (2 0 3)
d = 1.587 Å, 2θ 58.13, intensity 18, (1 1 4)
d = 1.490 Å, 2θ 62.30, intensity 9, (2 1 2)